No. 1
Structure and simulated powder X-ray diffraction pattern of UAg3Sn3Se8 (DFT lattice parameters and positions (PBE); Cu Kα).
Intensities are scaled so that the largest is 100.

```
data_UAg3Sn3Se8
_chemical_formula_sum 'U3 Ag9 Sn9 Se24'
_symmetry_space_group_name_H-M 'R -3 m'
_symmetry_Int_Tables_number 166
_symmetry_space_group_name_Hall '-R 3 2"'
_cell_length_a 8.3111
_cell_length_b 8.3111
_cell_length_c 19.1796
_cell_angle_alpha 90.00
_cell_angle_beta 90.00
_cell_angle_gamma 120.00
loop_
_atom_site_label
_atom_site_type_symbol
_atom_site_fract_x
_atom_site_fract_y
_atom_site_fract_z
U1 U 0.0000 0.0000 0.0000
Ag1 Ag 0.0000 0.5000 0.5000
Sn1 Sn 0.0000 0.5000 0.0000
Se1 Se 0.0000 0.0000 0.2447
Se2 Se 0.0106 0.5053 0.7493
```

Top 12 peaks for 10° ≤ 2θ ≤ 90°, sorted by position:
2θ/deg, intensity
13.1, 18.4
31.1, 100.0
43.6, 39.2
45.5, 34.5
54.5, 20.1
57.7, 5.6
64.8, 11.9
72.2, 17.3
75.0, 15.6
80.0, 6.9
81.3, 12.7
85.4, 5.7

---

No. 2
Structure and simulated powder X-ray diffraction pattern of Ba2CN2F2 (DFT lattice parameters and positions (PBE); Cu Kα).
Intensities are scaled so that the largest is 100.

```
data_Ba2CN2F2
_chemical_formula_sum 'Ba4 C2 N4 F4'
_symmetry_space_group_name_H-M 'C 1 2/m 1'
_symmetry_Int_Tables_number 12
_symmetry_space_group_name_Hall '-C 2y'
_cell_length_a 7.618
_cell_length_b 4.393
_cell_length_c 8.708
_cell_angle_alpha 90.00
_cell_angle_beta 91.19
_cell_angle_gamma 90.00
loop_
_atom_site_label
_atom_site_type_symbol
_atom_site_fract_x
_atom_site_fract_y
_atom_site_fract_z
Ba1 Ba 0.171 0.000 0.210
C1 C 0.000 0.500 0.500
N1 N 0.009 0.500 0.358
F1 F 0.165 0.000 0.901
```

Top 12 peaks for 10° ≤ 2θ ≤ 90°, sorted by position:
2θ/deg, intensity
10.2, 22.2
20.4, 47.9
23.4, 28.3
25.4, 100.0
25.7, 65.9
30.8, 26.7
31.4, 25.9
38.8, 38.4
39.4, 18.8
41.1, 59.1
48.4, 16.9
49.1, 17.3

---

No. 3
Structure and simulated powder X-ray diffraction pattern of Ho2HSe2 (DFT lattice parameters and positions (PBE); Cu Kα).
Intensities are scaled so that the largest is 100.

```
data_Ho2HSe2
_chemical_formula_sum 'Ho8 H4 Se8'
_symmetry_space_group_name_H-M 'C m c 21'
_symmetry_Int_Tables_number 36
_symmetry_space_group_name_Hall 'C 2c -2'
_cell_length_a 3.750
_cell_length_b 10.079
_cell_length_c 10.800
_cell_angle_alpha 90.00
_cell_angle_beta 90.00
_cell_angle_gamma 90.00
loop_
_atom_site_label
_atom_site_type_symbol
_atom_site_fract_x
_atom_site_fract_y
_atom_site_fract_z
Ho1 Ho 0.000 0.044 0.000
Ho2 Ho 0.000 0.234 0.253
H1 H 0.000 0.359 0.617
Se1 Se 0.000 0.057 0.742
Se2 Se 0.000 0.326 0.956
```

Top 12 peaks for 10° ≤ 2θ ≤ 90°, sorted by position:
2θ/deg, intensity
24.2, 92.4
25.3, 89.6
26.7, 86.9
33.2, 100.0
35.7, 96.1
36.6, 56.1
36.9, 93.7
39.7, 45.1
42.2, 56.0
44.1, 62.0
48.6, 41.2
60.1, 36.4

---

No. 4
Structure and simulated powder X-ray diffraction pattern of CsAcAlS4 (DFT lattice parameters and positions (PBE); Cu Kα).
Intensities are scaled so that the largest is 100.

```
data_CsAcAlS4
_chemical_formula_sum 'Cs2 Ac2 Al2 S8'
_symmetry_space_group_name_H-M 'P 1 21/m 1'
_symmetry_Int_Tables_number 11
_symmetry_space_group_name_Hall '-P 2yb'
_cell_length_a 7.366
_cell_length_b 5.885
_cell_length_c 10.126
_cell_angle_alpha 90.00
_cell_angle_beta 103.38
_cell_angle_gamma 90.00
loop_
_atom_site_label
_atom_site_type_symbol
_atom_site_fract_x
_atom_site_fract_y
_atom_site_fract_z
Cs1 Cs 0.246 0.250 0.464
Ac1 Ac 0.245 0.250 0.941
Al1 Al 0.253 0.750 0.174
S1 S 0.059 0.750 0.310
S2 S 0.112 0.750 0.951
S3 S 0.488 0.014 0.206
```

Top 12 peaks for 10° ≤ 2θ ≤ 90°, sorted by position:
2θ/deg, intensity
18.0, 31.0
19.5, 100.0
24.2, 26.3
24.6, 47.3
24.9, 26.5
27.2, 43.2
28.6, 48.5
30.4, 30.0
31.2, 25.7
35.5, 28.7
39.6, 53.2
40.8, 26.9